Entry 1:
Calculated PXRD pattern of Pm12ErSc6 for Cu Kα (weighted mean of Kα1 and Kα2), from a DFT-relaxed cell (GGA-PBE, Alexandria).

Atomic structure:
```
19
Lattice="-5.3102 5.3102 5.3102 5.3102 -5.3102 5.3102 5.3102 5.3102 -5.3102" Properties=species:S:1:pos:R:3 pbc="T T T"
Pm 5.3102 -2.4626 3.2008
Pm 2.8476 2.1094 0.0000
Pm 7.7728 2.1094 0.0000
Pm 3.2008 5.3102 -2.4626
Pm 2.1094 0.0000 2.8476
Pm 0.0000 2.8476 2.1094
Pm 5.3102 2.4626 3.2008
Pm 3.2008 5.3102 2.4626
Pm 2.1094 0.0000 7.7728
Pm -2.4626 3.2008 5.3102
Pm 2.4626 3.2008 5.3102
Pm 0.0000 7.7728 2.1094
Er 0.0000 0.0000 0.0000
Sc 5.3102 0.0000 1.4649
Sc 5.3102 3.8453 0.0000
Sc 1.4649 5.3102 0.0000
Sc 3.8453 0.0000 5.3102
Sc 0.0000 1.4649 5.3102
Sc 0.0000 5.3102 3.8453
```

Largest 10 diffraction maxima, sorted by position, 2θ = 10–90°:
26.5 deg, intensity 18.5; 29.1 deg, intensity 100.0; 31.5 deg, intensity 95.8; 33.8 deg, intensity 54.0; 35.9 deg, intensity 16.5; 43.4 deg, intensity 15.9; 50.1 deg, intensity 23.8; 53.2 deg, intensity 35.7; 61.8 deg, intensity 23.2; 87.0 deg, intensity 15.7

***

Entry 2:
Calculated PXRD pattern of Pr4Ga12Sn for Cu Kα (weighted mean of Kα1 and Kα2), from a DFT-relaxed cell (GGA-PBE, Alexandria).

Atomic structure:
```
17
Lattice="-4.5212 4.5212 4.5212 4.5212 -4.5212 4.5212 4.5212 4.5212 -4.5212" Properties=species:S:1:pos:R:3 pbc="T T T"
Pr 2.2606 2.2606 -2.2606
Pr 2.2606 -2.2606 2.2606
Pr -2.2606 2.2606 2.2606
Pr 2.2606 2.2606 2.2606
Ga 2.9205 0.0000 0.0000
Ga 6.1219 0.0000 0.0000
Ga 4.5212 2.2606 0.0000
Ga 4.5212 0.0000 2.2606
Ga 0.0000 2.9205 0.0000
Ga 0.0000 0.0000 2.9205
Ga 2.2606 4.5212 0.0000
Ga 2.2606 0.0000 4.5212
Ga 0.0000 6.1219 0.0000
Ga 0.0000 0.0000 6.1219
Ga 0.0000 4.5212 2.2606
Ga 0.0000 2.2606 4.5212
Sn 0.0000 0.0000 0.0000
```

Largest 10 diffraction maxima, sorted by position, 2θ = 10–90°:
27.9 deg, intensity 50.1; 34.4 deg, intensity 100.0; 37.2 deg, intensity 24.2; 39.9 deg, intensity 71.5; 42.4 deg, intensity 15.2; 47.1 deg, intensity 20.1; 57.7 deg, intensity 36.0; 65.3 deg, intensity 18.9; 68.9 deg, intensity 24.6; 79.3 deg, intensity 12.6

***

Entry 3:
Calculated PXRD pattern of PmInP for Cu Kα (weighted mean of Kα1 and Kα2), from a DFT-relaxed cell (GGA-PBE, Alexandria).

Atomic structure:
```
6
Lattice="2.4538 1.4167 8.1353 -2.4538 1.4167 8.1353 0.0000 -2.8334 8.1353" Properties=species:S:1:pos:R:3 pbc="T T T"
Pm 0.0000 0.0000 2.5043
Pm 0.0000 0.0000 21.9018
In 0.0000 0.0000 7.9292
In 0.0000 0.0000 16.4769
P 0.0000 0.0000 5.2930
P 0.0000 0.0000 19.1130
```

Largest 10 diffraction maxima, sorted by position, 2θ = 10–90°:
21.2 deg, intensity 23.5; 25.5 deg, intensity 56.8; 27.8 deg, intensity 97.5; 33.0 deg, intensity 35.4; 36.6 deg, intensity 100.0; 42.7 deg, intensity 23.1; 46.6 deg, intensity 24.1; 50.1 deg, intensity 64.1; 60.7 deg, intensity 21.8; 75.8 deg, intensity 18.6

***

Entry 4:
Calculated PXRD pattern of Pm6Pr8Th for Cu Kα (weighted mean of Kα1 and Kα2), from a DFT-relaxed cell (GGA-PBE, Alexandria).

Atomic structure:
```
15
Lattice="4.6711 2.6969 7.0650 -4.6711 2.6969 7.0650 0.0000 -5.3937 7.0650" Properties=species:S:1:pos:R:3 pbc="T T T"
Pm -2.6068 -2.2755 9.7365
Pm -3.2740 1.1198 11.4584
Pm 0.6673 -3.3953 11.4584
Pm -0.6673 3.3953 9.7365
Pm 3.2741 -1.1198 9.7365
Pm 2.6068 2.2755 11.4584
Pr 0.0000 0.0000 1.6519
Pr -1.8655 0.8620 7.6623
Pr 0.1862 -2.0466 7.6623
Pr -1.6793 -1.1846 13.5326
Pr 1.6793 1.1846 7.6623
Pr -0.1863 2.0466 13.5326
Pr 1.8655 -0.8620 13.5326
Pr 0.0000 0.0000 19.5430
Th 0.0000 0.0000 10.5974
```

Largest 10 diffraction maxima, sorted by position, 2θ = 10–90°:
29.5 deg, intensity 37.8; 30.4 deg, intensity 100.0; 30.5 deg, intensity 67.1; 31.5 deg, intensity 50.1; 31.8 deg, intensity 16.5; 33.8 deg, intensity 20.1; 35.6 deg, intensity 24.1; 51.5 deg, intensity 15.5; 53.5 deg, intensity 21.8; 58.3 deg, intensity 14.6

***

Entry 5:
Calculated PXRD pattern of MgNi4P2 for Cu Kα (weighted mean of Kα1 and Kα2), from a DFT-relaxed cell (GGA-PBE, Alexandria).

Atomic structure:
```
14
Lattice="7.0656 0.0000 0.0000 0.0000 7.0656 0.0000 0.0000 0.0000 3.4705" Properties=species:S:1:pos:R:3 pbc="T T T"
Mg 0.0000 0.0000 0.0000
Mg 3.5328 3.5328 1.7353
Ni 0.5030 2.2716 1.7353
Ni 1.2612 4.0358 0.0000
Ni 2.2716 0.5030 1.7353
Ni 3.0298 5.8044 0.0000
Ni 4.0358 1.2612 0.0000
Ni 4.7941 6.5626 1.7353
Ni 5.8044 3.0298 0.0000
Ni 6.5626 4.7941 1.7353
P 1.6358 5.4298 1.7353
P 1.8970 1.8970 0.0000
P 5.1687 5.1687 0.0000
P 5.4298 1.6358 1.7353
```

Largest 10 diffraction maxima, sorted by position, 2θ = 10–90°:
17.8 deg, intensity 51.4; 38.5 deg, intensity 100.0; 40.4 deg, intensity 34.3; 44.7 deg, intensity 42.5; 46.3 deg, intensity 17.1; 46.6 deg, intensity 17.3; 48.5 deg, intensity 62.3; 52.8 deg, intensity 28.7; 53.5 deg, intensity 35.3; 78.4 deg, intensity 21.1

***

Entry 6:
Calculated PXRD pattern of Tb5Dy8Pb for Cu Kα (weighted mean of Kα1 and Kα2), from a DFT-relaxed cell (GGA-PBE, Alexandria).

Atomic structure:
```
14
Lattice="-4.7938 4.7938 4.9912 4.7938 -4.7938 4.9912 4.7938 4.7938 -4.9912" Properties=species:S:1:pos:R:3 pbc="T T T"
Tb 0.0000 0.0000 0.0000
Tb 2.7746 3.8268 -0.7850
Tb 5.7608 2.7746 0.7850
Tb 2.0193 0.9670 4.2062
Tb -0.9670 2.0193 5.7762
Dy 6.4908 -0.6591 0.9467
Dy 5.5849 3.0264 -2.5299
Dy 3.0968 0.6591 0.9467
Dy 4.1347 -1.6970 4.0445
Dy -0.7911 1.7674 2.4612
Dy 5.4529 1.6970 4.0445
Dy 3.0264 4.0028 2.5299
Dy 1.7674 0.7911 7.5211
Pb 0.0000 4.7938 2.4956
```

Largest 10 diffraction maxima, sorted by position, 2θ = 10–90°:
28.4 deg, intensity 78.0; 29.3 deg, intensity 72.6; 29.5 deg, intensity 95.0; 31.9 deg, intensity 24.0; 34.1 deg, intensity 100.0; 34.6 deg, intensity 57.7; 34.9 deg, intensity 59.3; 55.3 deg, intensity 33.3; 63.8 deg, intensity 25.4; 87.0 deg, intensity 25.3

***

Entry 7:
Calculated PXRD pattern of CeI2O6 for Cu Kα (weighted mean of Kα1 and Kα2), from a DFT-relaxed cell (GGA-PBE, Alexandria).

Atomic structure:
```
36
Lattice="7.0875 0.0000 0.0000 0.0000 11.5356 0.0000 -5.5223 0.0000 7.1074" Properties=species:S:1:pos:R:3 pbc="T T T"
Ce 0.3327 0.7277 1.5393
Ce -2.4284 5.0401 5.0930
Ce 3.9937 6.4955 2.0144
Ce 1.2325 10.8079 5.5681
I -2.2254 1.2332 4.7774
I 0.5358 4.5346 1.2237
I 0.2170 8.5608 2.4327
I -2.5442 8.7425 5.9865
I 4.1094 2.7931 1.1210
I 1.3483 2.9747 4.6747
I 1.0295 7.0010 5.8837
I 3.7906 10.3024 2.3300
O -1.6775 8.3691 2.7197
O -4.4387 8.9342 6.2735
O -4.6009 0.6265 6.4997
O -1.8398 5.1413 2.9460
O -1.8480 0.9137 2.9766
O -4.6092 4.8541 6.5303
O -1.2215 2.7983 4.9442
O 1.5397 2.9695 1.3905
O -2.3664 7.0186 6.7769
O 0.3948 10.2848 3.2232
O -1.0461 0.0575 5.5493
O 1.7150 5.7103 1.9955
O -0.1498 5.8253 5.1119
O 2.6114 11.4781 1.5582
O 1.1704 1.2508 3.8842
O 3.9316 4.5170 0.3305
O 0.0256 8.5661 5.7170
O 2.7867 8.7372 2.1632
O 6.1744 6.6815 0.5771
O 3.4133 10.6219 4.1308
O 3.4050 6.3943 4.1614
O 6.1662 10.9091 0.6077
O 6.0039 2.6013 0.8340
O 3.2428 3.1664 4.3877
```

Largest 10 diffraction maxima, sorted by position, 2θ = 10–90°:
25.1 deg, intensity 51.4; 25.7 deg, intensity 54.8; 26.2 deg, intensity 48.3; 26.9 deg, intensity 13.7; 28.2 deg, intensity 100.0; 30.6 deg, intensity 38.5; 32.0 deg, intensity 26.9; 40.9 deg, intensity 14.7; 45.3 deg, intensity 32.4; 54.6 deg, intensity 16.1

***

Entry 8:
Calculated PXRD pattern of KMgTe2 for Cu Kα (weighted mean of Kα1 and Kα2), from a DFT-relaxed cell (GGA-PBE, Alexandria).

Atomic structure:
```
8
Lattice="8.1049 0.0000 0.0000 0.0000 3.6080 0.0000 -3.1592 0.0000 8.6465" Properties=species:S:1:pos:R:3 pbc="T T T"
K 0.0000 0.0000 0.0000
K 4.0524 1.8040 0.0000
Mg 0.7967 1.8040 4.3221
Mg 4.8492 0.0000 4.3221
Te -0.7801 0.0000 6.0836
Te 2.3946 0.0000 2.5712
Te 3.2723 1.8040 6.0836
Te 6.4471 1.8040 2.5712
```

Largest 10 diffraction maxima, sorted by position, 2θ = 10–90°:
20.5 deg, intensity 28.1; 22.1 deg, intensity 35.5; 25.3 deg, intensity 25.8; 27.4 deg, intensity 34.0; 28.7 deg, intensity 60.9; 30.7 deg, intensity 44.5; 31.9 deg, intensity 100.0; 41.8 deg, intensity 45.3; 44.9 deg, intensity 35.6; 59.2 deg, intensity 22.9

***

Which formula does entry 8 have?
KMgTe2

***

Which formula does entry 8 have?
KMgTe2